Starting from DFT lattice parameters and positions (GGA-PBE), the powder diffraction line list of HfIn2Ni was calculated for Cu Kα.

Most intense lines, 2θ from 10° to 90°, most intense first:
- 2θ = 37.8°, I = 100.0, (2 2 0)
- 2θ = 68.2°, I = 34.0, (4 2 2)
- 2θ = 54.5°, I = 17.0, (4 0 0)
- 2θ = 80.7°, I = 10.6, (4 4 0)
- 2θ = 26.5°, I = 6.7, (2 0 0)
- 2θ = 22.9°, I = 6.4, (1 1 1)
- 2θ = 44.6°, I = 3.5, (3 1 1)
- 2θ = 61.6°, I = 2.8, (4 2 0)
- 2θ = 46.7°, I = 2.0, (2 2 2)
- 2θ = 59.9°, I = 1.5, (3 3 1)

Cell and atoms:
Cell: 6.732 6.732 6.732 Å, 90.00 90.00 90.00°
Space group F-43m (No. 216)
One atom of each set of equivalent atoms:
Hf: 0.000 0.000 0.000
In: 0.000 0.000 0.500
In: 0.250 0.250 0.750
Ni: 0.250 0.250 0.250

***

Starting from DFT lattice parameters and positions (GGA-PBE), the powder diffraction line list of YTmZnNi2 was calculated for Cu Kα.

Most intense lines, 2θ from 10° to 90°, most intense first:
- 2θ = 35.2°, I = 100.0, (1 1 2)
- 2θ = 41.5°, I = 52.1, (1 2 1)
- 2θ = 42.9°, I = 31.8, (2 0 0)
- 2θ = 26.9°, I = 30.3, (1 1 0)
- 2θ = 37.7°, I = 28.6, (0 1 3)
- 2θ = 40.5°, I = 26.5, (0 2 2)
- 2θ = 40.0°, I = 25.0, (1 0 3)
- 2θ = 72.3°, I = 24.8, (1 2 5)
- 2θ = 60.4°, I = 20.4, (2 2 2)
- 2θ = 58.4°, I = 15.8, (2 1 3)

Cell and atoms:
Cell: 4.220 5.356 8.001 Å, 90.00 90.00 90.00°
Space group Imm2 (No. 44)
One atom of each set of equivalent atoms:
Y: 0.000 0.000 0.000
Tm: 0.000 0.000 0.592
Zn: 0.000 0.500 0.796
Ni: 0.000 0.272 0.297

***

Starting from DFT lattice parameters and positions (GGA-PBE), the powder diffraction line list of Ta4Ni5Ge5 was calculated for Cu Kα.

Most intense lines, 2θ from 10° to 90°, most intense first:
- 2θ = 45.0°, I = 100.0, (1 3 2)
- 2θ = 27.1°, I = 33.4, (2 1 1)
- 2θ = 31.4°, I = 27.5, (1 3 0)
- 2θ = 83.0°, I = 20.6, (7 1 2)
- 2θ = 31.3°, I = 13.1, (0 0 2)
- 2θ = 55.9°, I = 10.8, (4 2 2)
- 2θ = 82.9°, I = 10.6, (4 2 4)
- 2θ = 65.6°, I = 10.3, (2 6 0)
- 2θ = 18.4°, I = 10.1, (1 0 1)
- 2θ = 53.3°, I = 9.5, (5 0 1)

Cell and atoms:
Cell: 9.005 9.005 5.713 Å, 90.00 90.00 90.00°
Space group I-4 (No. 82)
One atom of each set of equivalent atoms:
Ta: 0.100 0.299 0.001
Ni: 0.000 0.500 0.750
Ni: 0.103 0.793 0.240
Ge: 0.000 0.000 0.000
Ge: 0.094 0.288 0.502

***

Starting from DFT lattice parameters and positions (GGA-PBE), the powder diffraction line list of LiYPdPb was calculated for Cu Kα.

Most intense lines, 2θ from 10° to 90°, most intense first:
- 2θ = 37.2°, I = 100.0, (2 0 0)
- 2θ = 67.0°, I = 35.6, (3 1 2)
- 2θ = 22.5°, I = 33.0, (1 0 1)
- 2θ = 26.1°, I = 24.6, (1 1 0)
- 2θ = 43.9°, I = 18.1, (2 1 1)
- 2θ = 53.6°, I = 17.4, (2 2 0)
- 2θ = 79.2°, I = 11.2, (4 0 0)
- 2θ = 60.5°, I = 9.9, (3 1 0)
- 2θ = 58.9°, I = 7.8, (3 0 1)
- 2θ = 46.0°, I = 7.4, (2 0 2)

Cell and atoms:
Cell: 4.836 4.836 6.837 Å, 90.00 90.00 90.00°
Space group P-4m2 (No. 115)
One atom of each set of equivalent atoms:
Li: 0.000 0.500 0.248
Y: 0.000 0.000 0.000
Y: 0.500 0.500 0.500
Pd: 0.000 0.500 0.750
Pb: 0.000 0.000 0.500
Pb: 0.500 0.500 0.000

***

Starting from DFT lattice parameters and positions (GGA-PBE), the powder diffraction line list of SmNb2Sb2 was calculated for Cu Kα.

Most intense lines, 2θ from 10° to 90°, most intense first:
- 2θ = 39.6°, I = 100.0, (2 0 1)
- 2θ = 29.0°, I = 88.5, (0 2 1)
- 2θ = 27.1°, I = 74.0, (1 3 0)
- 2θ = 37.0°, I = 65.1, (1 3 1)
- 2θ = 34.1°, I = 57.2, (2 2 0)
- 2θ = 48.4°, I = 40.0, (1 5 1)
- 2θ = 40.9°, I = 32.7, (1 5 0)
- 2θ = 62.5°, I = 31.9, (0 8 0)
- 2θ = 76.5°, I = 27.2, (2 8 1)
- 2θ = 50.7°, I = 24.4, (0 0 2)

Cell and atoms:
Cell: 5.864 11.901 3.604 Å, 90.00 90.00 90.00°
Space group Pbam (No. 55)
One atom of each set of equivalent atoms:
Sm: 0.000 0.000 0.000
Nb: 0.246 0.248 0.500
Sb: 0.000 0.381 0.000

***

Starting from DFT lattice parameters and positions (GGA-PBE), the powder diffraction line list of CdH4NCl3 was calculated for Cu Kα.

Most intense lines, 2θ from 10° to 90°, most intense first:
- 2θ = 32.1°, I = 100.0, (2 1 2)
- 2θ = 12.0°, I = 94.3, (0 0 2)
- 2θ = 11.5°, I = 82.9, (1 0 1)
- 2θ = 15.5°, I = 67.6, (1 0 2)
- 2θ = 44.8°, I = 67.1, (0 2 0)
- 2θ = 24.9°, I = 55.3, (1 1 1)
- 2θ = 30.3°, I = 52.7, (2 1 1)
- 2θ = 29.6°, I = 47.0, (2 1 0)
- 2θ = 37.8°, I = 32.3, (0 1 5)
- 2θ = 47.7°, I = 31.8, (4 1 2)

Cell and atoms:
Cell: 9.049 4.046 14.709 Å, 90.00 90.00 90.00°
Space group Pnma (No. 62)
One atom of each set of equivalent atoms:
Cd: 0.167 0.250 0.058
H: 0.016 0.750 0.389
H: 0.032 0.250 0.721
H: 0.122 0.545 0.309
N: 0.056 0.750 0.323
Cl: 0.027 0.250 0.900
Cl: 0.166 0.250 0.498
Cl: 0.227 0.750 0.719

***

Starting from DFT lattice parameters and positions (GGA-PBE), the powder diffraction line list of Co3AgTe5 was calculated for Cu Kα.

Most intense lines, 2θ from 10° to 90°, most intense first:
- 2θ = 32.2°, I = 100.0, (1 1 0)
- 2θ = 30.1°, I = 94.1, (1 0 2)
- 2θ = 44.7°, I = 79.2, (2 0 2)
- 2θ = 59.1°, I = 32.0, (1 1 4)
- 2θ = 56.2°, I = 31.7, (2 1 2)
- 2θ = 40.3°, I = 23.9, (1 1 2)
- 2θ = 11.7°, I = 21.9, (0 0 1)
- 2θ = 67.5°, I = 21.1, (2 2 0)
- 2θ = 87.1°, I = 20.1, (2 2 4)
- 2θ = 48.1°, I = 18.9, (0 0 4)

Cell and atoms:
Cell: 5.5525 5.5525 7.5607 Å, 90.00 90.00 120.00°
Space group P6/mmm (No. 191)
One atom of each set of equivalent atoms:
Co: 0.0000 0.5000 0.0000
Ag: 0.0000 0.0000 0.5000
Te: 0.0000 0.0000 0.0000
Te: 0.3333 0.6667 0.2629

***

Starting from DFT lattice parameters and positions (GGA-PBE), the powder diffraction line list of CuH4C6IN2 was calculated for Cu Kα.

Most intense lines, 2θ from 10° to 90°, most intense first:
- 2θ = 13.8°, I = 100.0, (0 2 0)
- 2θ = 26.6°, I = 78.3, (1 2 1)
- 2θ = 21.6°, I = 75.6, (0 3 1)
- 2θ = 28.4°, I = 44.4, (0 2 4)
- 2θ = 23.7°, I = 40.5, (1 1 1)
- 2θ = 39.0°, I = 38.1, (1 1 5)
- 2θ = 36.1°, I = 35.9, (1 4 1)
- 2θ = 30.9°, I = 35.7, (1 3 1)
- 2θ = 45.1°, I = 31.4, (2 1 0)
- 2θ = 26.1°, I = 30.5, (1 1 2)

Cell and atoms:
Cell: 4.071 12.874 14.378 Å, 90.00 90.00 90.00°
Space group P2_12_12_1 (No. 19)
One atom of each set of equivalent atoms:
Cu: 0.136 0.192 0.454
H: 0.069 0.521 0.928
H: 0.136 0.366 0.240
H: 0.149 0.736 0.605
H: 0.177 0.653 0.444
C: 0.005 0.996 0.346
C: 0.090 0.484 0.996
C: 0.121 0.054 0.268
C: 0.128 0.397 0.169
C: 0.229 0.386 0.006
C: 0.248 0.341 0.094
I: 0.127 0.222 0.634
N: 0.026 0.040 0.432
N: 0.210 0.094 0.199

***

Starting from DFT lattice parameters and positions (GGA-PBE), the powder diffraction line list of Si17Ge13PAu was calculated for Cu Kα.

Most intense lines, 2θ from 10° to 90°, most intense first:
- 2θ = 27.8°, I = 100.0, (1 1 3)
- 2θ = 45.9°, I = 71.1, (-2 3 1)
- 2θ = 27.8°, I = 51.4, (1 2 -2)
- 2θ = 27.5°, I = 50.5, (2 0 0)
- 2θ = 54.7°, I = 33.0, (2 1 -5)
- 2θ = 46.3°, I = 23.4, (1 5 -1)
- 2θ = 46.1°, I = 22.9, (1 4 4)
- 2θ = 46.3°, I = 22.9, (0 1 -5)
- 2θ = 54.3°, I = 15.5, (4 3 1)
- 2θ = 85.5°, I = 14.9, (1 -8 0)

Cell and atoms:
Cell: 6.873 10.390 10.403 Å, 81.49 83.76 71.10°
Space group P1 (No. 1)
One atom of each set of equivalent atoms:
Si: 0.000 0.000 0.000
Si: 0.002 0.621 0.117
Si: 0.366 0.919 0.983
Si: 0.371 0.543 0.099
Si: 0.374 0.414 0.479
Si: 0.376 0.793 0.356
Si: 0.498 0.808 0.556
Si: 0.500 0.688 0.938
Si: 0.505 0.186 0.429
Si: 0.507 0.310 0.053
Si: 0.863 0.605 0.926
Si: 0.870 0.231 0.046
Si: 0.871 0.111 0.415
Si: 0.876 0.481 0.284
Si: 0.880 0.853 0.163
Si: 0.993 0.249 0.243
Si: 0.999 0.121 0.614
Ge: 0.002 0.493 0.489
Ge: 0.002 0.876 0.365
Ge: 0.369 0.174 0.226
Ge: 0.372 0.046 0.600
Ge: 0.377 0.668 0.734
Ge: 0.500 0.061 0.812
Ge: 0.501 0.557 0.306
Ge: 0.503 0.428 0.683
Ge: 0.506 0.931 0.182
Ge: 0.871 0.732 0.541
Ge: 0.880 0.350 0.671
Ge: 0.881 0.984 0.795
Ge: 0.996 0.741 0.752
P: 0.383 0.293 0.861
Au: 0.011 0.371 0.880

***

Starting from DFT lattice parameters and positions (GGA-PBE), the powder diffraction line list of TaAg2PbS4 was calculated for Cu Kα.

Most intense lines, 2θ from 10° to 90°, most intense first:
- 2θ = 36.8°, I = 100.0, (2 2 2)
- 2θ = 22.9°, I = 93.4, (2 2 0)
- 2θ = 29.8°, I = 92.7, (3 1 1)
- 2θ = 28.9°, I = 67.7, (1 3 1)
- 2θ = 27.7°, I = 61.9, (0 3 1)
- 2θ = 28.4°, I = 59.3, (0 0 2)
- 2θ = 46.0°, I = 52.3, (2 5 1)
- 2θ = 18.1°, I = 48.3, (1 1 1)
- 2θ = 37.3°, I = 45.3, (4 1 1)
- 2θ = 23.2°, I = 40.9, (2 1 1)

Cell and atoms:
Cell: 10.733 11.257 6.293 Å, 90.00 90.00 90.00°
Space group Ama2 (No. 40)
One atom of each set of equivalent atoms:
Ta: 0.250 0.224 0.000
Ag: 0.092 0.403 0.451
Pb: 0.000 0.000 0.448
S: 0.076 0.216 0.211
S: 0.250 0.060 0.785
S: 0.250 0.398 0.803

***

Starting from DFT lattice parameters and positions (GGA-PBE), the powder diffraction line list of Si3Sb2Pt2 was calculated for Cu Kα.

Most intense lines, 2θ from 10° to 90°, most intense first:
- 2θ = 27.5°, I = 100.0, (1 0 4)
- 2θ = 41.9°, I = 77.0, (1 1 0)
- 2θ = 33.9°, I = 38.0, (1 0 7)
- 2θ = 10.1°, I = 36.8, (0 0 3)
- 2θ = 45.0°, I = 28.1, (0 1 11)
- 2θ = 29.3°, I = 23.4, (0 1 5)
- 2θ = 20.3°, I = 23.3, (0 0 6)
- 2θ = 42.0°, I = 22.7, (1 0 10)
- 2θ = 76.6°, I = 21.0, (3 0 0)
- 2θ = 50.9°, I = 18.8, (0 2 4)

Cell and atoms:
Cell: 4.3098 4.3098 26.2882 Å, 90.00 90.00 120.00°
Space group R3m (No. 160, hexagonal axes)
One atom of each set of equivalent atoms:
Si: 0.0000 0.0000 0.0000
Si: 0.0000 0.0000 0.2545
Si: 0.0000 0.0000 0.5417
Sb: 0.0000 0.0000 0.1448
Sb: 0.0000 0.0000 0.7176
Pt: 0.0000 0.0000 0.4412
Pt: 0.0000 0.0000 0.9109